The following is a computed X-ray powder pattern of Tb2PaCrO8. It was derived from DFT lattice parameters and positions (PBE+U), using Cu Kα (λ = 1.5418 Å).
Neutral-atom scattering factors, no anomalous dispersion.

Principal peaks in the range 10° ≤ 2θ ≤ 90°, sorted by position:
2θ (°)	Rel. int.
13.2	13.3
22.1	23.1
25.0	59.5
25.4	53.9
32.1	100.0
35.9	29.3
48.6	41.7
49.1	35.5
62.1	21.8
67.1	11.4

Structure:
Lattice parameters (Å, degrees): 5.004 5.004 6.726 90.00 90.00 90.97
Fractional coordinates of all 12 atoms:
Tb: 0.000 0.000 0.243
Tb: 0.000 0.000 0.757
Pa: 0.500 0.500 0.500
Cr: 0.500 0.500 0.000
O: 0.196 0.196 0.500
O: 0.245 0.245 0.000
O: 0.319 0.681 0.230
O: 0.319 0.681 0.770
O: 0.681 0.319 0.230
O: 0.681 0.319 0.770
O: 0.755 0.755 0.000
O: 0.804 0.804 0.500